[1]
This entry pairs a crystal structure of Nd2Hf3Ge4 with its theoretical X-ray powder pattern. Radiation: copper Kα. Structure: a cell relaxed with GGA-PBE.

Largest 12 diffraction maxima, by intensity, 10 to 90 degrees two-theta:
d [Å]  Position (°2θ)  intensity  hkl
2.624  34.2  100  2 2 -1
2.586  34.7  93  1 1 2
2.345  38.4  79  3 0 -2
2.324  38.7  75  1 1 -3
2.605  34.4  66  1 2 -2
2.810  31.8  56  2 1 -2
2.565  35.0  51  2 2 0
2.350  38.3  29  3 0 0
3.258  27.4  25  1 1 -2
1.560  59.2  24  1 3 3
1.573  58.7  23  3 3 1
1.652  55.6  22  3 1 2

abc: 7.486 7.482 7.334
angles: 90.00 109.66 90.00
Space group P2_1/c (No. 14)
Unique sites:
Nd 0.187 0.170 0.064 (multiplicity 4)
Hf 0.254 0.669 0.249 (multiplicity 4)
Hf 0.500 0.000 0.500 (multiplicity 2)
Ge 0.088 0.541 0.860 (multiplicity 4)
Ge 0.494 0.134 0.862 (multiplicity 4)

=====

[2]
This entry pairs a crystal structure of RbTmCuBr5 with its theoretical X-ray powder pattern. Radiation: copper Kα. Structure: a cell relaxed with GGA-PBE.

Largest 12 diffraction maxima, by intensity, 10 to 90 degrees two-theta:
d [Å]  Position (°2θ)  intensity  hkl
4.755  18.7  100  1 1 -2
7.066  12.5  68  1 1 0
3.293  27.1  62  1 3 1
4.298  20.7  48  2 0 0
2.051  44.2  46  4 0 -4
3.728  23.9  39  1 3 0
2.953  30.3  37  0 4 1
3.803  23.4  36  0 2 2
2.476  36.3  36  2 4 -2
2.355  38.2  32  3 3 0
2.234  40.4  31  1 5 -2
3.358  26.5  28  1 1 -3

abc: 9.344 12.409 10.465
angles: 90.00 113.08 90.00
Space group C2/c (No. 15)
Unique sites:
Rb 0.000 0.149 0.250 (multiplicity 4)
Tm 0.000 0.500 0.000 (multiplicity 4)
Cu 0.000 0.191 0.750 (multiplicity 4)
Br 0.000 0.425 0.250 (multiplicity 4)
Br 0.105 0.297 0.607 (multiplicity 8)
Br 0.197 0.072 0.927 (multiplicity 8)

=====

[3]
This entry pairs a crystal structure of NaCa4Mg with its theoretical X-ray powder pattern. Radiation: copper Kα. Structure: a cell relaxed with GGA-PBE.

Largest 12 diffraction maxima, by intensity, 10 to 90 degrees two-theta:
d [Å]  Position (°2θ)  intensity  hkl
3.034  29.4  100  1 3 1
2.807  31.9  42  2 0 0
1.661  55.3  29  3 3 1
1.803  50.6  17  2 6 0
1.985  45.7  14  2 0 2
2.353  38.2  10  0 6 0
1.517  61.1  9  2 6 2
3.822  23.3  9  1 1 1
1.459  63.8  6  1 9 1
1.108  88.2  6  4 6 2
1.274  74.5  5  3 3 3
1.255  75.8  5  4 0 2

abc: 5.616 14.119 5.612
angles: 90.00 90.00 90.00
Space group Cmmm (No. 65)
Unique sites:
Na 0.000 0.000 0.000 (multiplicity 2)
Ca 0.000 0.154 0.500 (multiplicity 4)
Ca 0.000 0.347 0.000 (multiplicity 4)
Mg 0.000 0.500 0.500 (multiplicity 2)

=====

[4]
This entry pairs a crystal structure of Er6TlRu with its theoretical X-ray powder pattern. Radiation: copper Kα. Structure: a cell relaxed with GGA-PBE.

Largest 12 diffraction maxima, by intensity, 10 to 90 degrees two-theta:
d [Å]  Position (°2θ)  intensity  hkl
2.735  32.7  100  1 1 4
2.506  35.8  46  2 0 0
1.487  62.5  32  3 1 4
1.772  51.6  16  2 2 0
1.632  56.4  13  2 0 8
2.229  40.5  8  1 1 6
2.150  42.0  8  0 0 8
1.121  86.9  8  4 2 0
1.367  68.6  7  2 2 8
1.139  85.2  7  3 3 4
1.887  48.2  6  2 0 6
8.600  10.3  6  0 0 2

abc: 5.011 5.011 17.200
angles: 90.00 90.00 90.00
Space group I4/mmm (No. 139)
Unique sites:
Er 0.000 0.000 0.250 (multiplicity 4)
Er 0.000 0.500 0.103 (multiplicity 8)
Tl 0.000 0.000 0.000 (multiplicity 2)
Ru 0.000 0.000 0.500 (multiplicity 2)